This entry pairs a crystal structure of LiPu2VO8 with its calculated X-ray diffraction stick pattern. Radiation: a wavelength of 1.5418 Å. Structure: a cell relaxed with GGA+U.
Kinematic intensities with the Lorentz-polarization factor, no thermal factor.

Principal peaks in the range 2θ from 10° to 90°, low angle first:
2θ = 18.77°, intensity 100
2θ = 26.38°, intensity 22
2θ = 26.55°, intensity 39
2θ = 26.80°, intensity 38
2θ = 32.58°, intensity 73
2θ = 37.77°, intensity 29
2θ = 38.08°, intensity 19
2θ = 46.92°, intensity 21
2θ = 50.82°, intensity 28
2θ = 51.10°, intensity 27

Unit cell a=4.7270 b=4.7270 c=6.7571 alpha=90.00 beta=90.00 gamma=90.52
Fractional positions:
Li1 0.0000 0.0000 0.0000
Pu1 0.5000 0.5000 0.2509
Pu2 0.5000 0.5000 0.7491
V1 0.0000 0.0000 0.5000
O1 0.1969 0.1969 0.2816
O2 0.1969 0.1969 0.7184
O3 0.2943 0.7057 0.5000
O4 0.3120 0.6880 0.0000
O5 0.6880 0.3120 0.0000
O6 0.7057 0.2943 0.5000
O7 0.8031 0.8031 0.2816
O8 0.8031 0.8031 0.7184